Record 1
Simulated powder X-ray diffraction pattern
Compound: NaSe2O6
Radiation: Cu Kα (weighted mean of Kα1 and Kα2)
Structure: the PBE geometry in Alexandria
Lines closer than 0.1° are merged.

Structure:
```
data_NaSe2O6
_space_group_name_H-M_alt 'P 1'
_space_group_IT_number 1
_space_group_name_Hall 'P 1'
_cell_length_a 5.889
_cell_length_b 5.541
_cell_length_c 11.131
_cell_angle_alpha 90.00
_cell_angle_beta 105.33
_cell_angle_gamma 90.00
loop_
_atom_site_label
_atom_site_type_symbol
_atom_site_fract_x
_atom_site_fract_y
_atom_site_fract_z
Na1 Na 0.000 0.045 0.000
Na2 Na 0.000 0.955 0.500
Se1 Se 0.266 0.387 0.748
Se2 Se 0.266 0.613 0.248
Se3 Se 0.598 0.049 0.205
Se4 Se 0.598 0.951 0.705
O1 O 0.130 0.332 0.601
O2 O 0.130 0.668 0.101
O3 O 0.142 0.251 0.848
O4 O 0.142 0.749 0.348
O5 O 0.332 0.180 0.180
O6 O 0.332 0.820 0.680
O7 O 0.564 0.243 0.776
O8 O 0.564 0.757 0.276
O9 O 0.662 0.004 0.573
O10 O 0.662 0.996 0.073
O11 O 0.803 0.178 0.316
O12 O 0.803 0.822 0.816
```

Largest 6 diffraction maxima, most intense first, 5 to 70 degrees two-theta:
Position (°2θ)  I (rel.)
16.5  1000
22.4  967
25.3  666
33.4  420
30.4  277
25.7  255

Record 2
Simulated powder X-ray diffraction pattern
Compound: Na6Se2O
Radiation: Cu Kα (weighted mean of Kα1 and Kα2)
Structure: the PBE geometry in Alexandria
Lines closer than 0.1° are merged.

Structure:
```
data_Na6Se2O
_space_group_name_H-M_alt 'P 1'
_space_group_IT_number 1
_space_group_name_Hall 'P 1'
_cell_length_a 6.071
_cell_length_b 6.071
_cell_length_c 12.706
_cell_angle_alpha 90.00
_cell_angle_beta 90.00
_cell_angle_gamma 90.00
loop_
_atom_site_label
_atom_site_type_symbol
_atom_site_fract_x
_atom_site_fract_y
_atom_site_fract_z
Na1 Na 0.174 0.174 0.143
Na2 Na 0.174 0.174 0.857
Na3 Na 0.227 0.227 0.500
Na4 Na 0.273 0.727 0.000
Na5 Na 0.326 0.674 0.357
Na6 Na 0.326 0.674 0.643
Na7 Na 0.674 0.326 0.357
Na8 Na 0.674 0.326 0.643
Na9 Na 0.727 0.273 0.000
Na10 Na 0.773 0.773 0.500
Na11 Na 0.826 0.826 0.143
Na12 Na 0.826 0.826 0.857
Se1 Se 0.000 0.000 0.336
Se2 Se 0.000 0.000 0.664
Se3 Se 0.500 0.500 0.164
Se4 Se 0.500 0.500 0.836
O1 O 0.000 0.000 0.000
O2 O 0.500 0.500 0.500
```

Largest 6 diffraction maxima, most intense first, 5 to 70 degrees two-theta:
Position (°2θ)  I (rel.)
20.7  1000
39.4  782
25.6  493
50.0  361
29.6  288
42.1  245

Record 3
Simulated powder X-ray diffraction pattern
Compound: Na2SrSeO4
Radiation: Cu Kα (weighted mean of Kα1 and Kα2)
Structure: the PBE geometry in Alexandria
Lines closer than 0.1° are merged.

Structure:
```
data_Na2SrSeO4
_space_group_name_H-M_alt 'P 1'
_space_group_IT_number 1
_space_group_name_Hall 'P 1'
_cell_length_a 5.607
_cell_length_b 5.607
_cell_length_c 5.607
_cell_angle_alpha 117.29
_cell_angle_beta 117.29
_cell_angle_gamma 94.76
loop_
_atom_site_label
_atom_site_type_symbol
_atom_site_fract_x
_atom_site_fract_y
_atom_site_fract_z
Na1 Na 0.000 0.000 0.000
Na2 Na 0.750 0.250 0.500
Sr1 Sr 0.250 0.750 0.500
Se1 Se 0.500 0.500 0.000
O1 O 0.179 0.196 0.561
O2 O 0.382 0.821 0.017
O3 O 0.635 0.618 0.439
O4 O 0.804 0.365 0.983
```

Largest 6 diffraction maxima, most intense first, 5 to 70 degrees two-theta:
Position (°2θ)  I (rel.)
32.0  1000
19.2  579
55.4  378
43.9  291
30.6  259
58.0  217

Record 4
Simulated powder X-ray diffraction pattern
Compound: NaSrSe2O6
Radiation: Cu Kα (weighted mean of Kα1 and Kα2)
Structure: the PBE geometry in Alexandria
Lines closer than 0.1° are merged.

Structure:
```
data_NaSrSe2O6
_space_group_name_H-M_alt 'P 1'
_space_group_IT_number 1
_space_group_name_Hall 'P 1'
_cell_length_a 6.991
_cell_length_b 6.991
_cell_length_c 7.122
_cell_angle_alpha 99.60
_cell_angle_beta 99.60
_cell_angle_gamma 99.16
loop_
_atom_site_label
_atom_site_type_symbol
_atom_site_fract_x
_atom_site_fract_y
_atom_site_fract_z
Na1 Na 0.207 0.793 0.750
Na2 Na 0.793 0.207 0.250
Sr1 Sr 0.397 0.603 0.250
Sr2 Sr 0.603 0.397 0.750
Se1 Se 0.109 0.284 0.796
Se2 Se 0.284 0.109 0.296
Se3 Se 0.716 0.891 0.704
Se4 Se 0.891 0.716 0.204
O1 O 0.073 0.658 0.362
O2 O 0.134 0.233 0.166
O3 O 0.233 0.134 0.666
O4 O 0.283 0.500 0.879
O5 O 0.342 0.927 0.138
O6 O 0.500 0.283 0.379
O7 O 0.500 0.717 0.621
O8 O 0.658 0.073 0.862
O9 O 0.717 0.500 0.121
O10 O 0.767 0.866 0.334
O11 O 0.866 0.767 0.834
O12 O 0.927 0.342 0.638
```

Largest 6 diffraction maxima, most intense first, 5 to 70 degrees two-theta:
Position (°2θ)  I (rel.)
31.7  1000
25.9  791
27.0  732
28.9  615
46.0  460
16.4  396

Record 5
Simulated powder X-ray diffraction pattern
Compound: Na2ThSeO6
Radiation: Cu Kα (weighted mean of Kα1 and Kα2)
Structure: the PBE geometry in Alexandria
Lines closer than 0.1° are merged.

Structure:
```
data_Na2ThSeO6
_space_group_name_H-M_alt 'P 1'
_space_group_IT_number 1
_space_group_name_Hall 'P 1'
_cell_length_a 5.680
_cell_length_b 5.680
_cell_length_c 4.588
_cell_angle_alpha 90.00
_cell_angle_beta 90.00
_cell_angle_gamma 90.00
loop_
_atom_site_label
_atom_site_type_symbol
_atom_site_fract_x
_atom_site_fract_y
_atom_site_fract_z
Na1 Na 0.000 0.500 0.000
Na2 Na 0.500 0.000 0.000
Th1 Th 0.000 0.000 0.585
Se1 Se 0.500 0.500 0.555
O1 O 0.000 0.000 0.101
O2 O 0.283 0.283 0.650
O3 O 0.283 0.717 0.650
O4 O 0.500 0.500 0.192
O5 O 0.717 0.283 0.650
O6 O 0.717 0.717 0.650
```

Largest 6 diffraction maxima, most intense first, 5 to 70 degrees two-theta:
Position (°2θ)  I (rel.)
29.6  1000
22.1  854
19.3  595
31.5  434
54.9  349
15.6  339

Record 6
Simulated powder X-ray diffraction pattern
Compound: NaTiSeO5
Radiation: Cu Kα (weighted mean of Kα1 and Kα2)
Structure: the PBE geometry in Alexandria
Lines closer than 0.1° are merged.

Structure:
```
data_NaTiSeO5
_space_group_name_H-M_alt 'P 1'
_space_group_IT_number 1
_space_group_name_Hall 'P 1'
_cell_length_a 5.646
_cell_length_b 5.646
_cell_length_c 7.490
_cell_angle_alpha 106.41
_cell_angle_beta 106.41
_cell_angle_gamma 102.38
loop_
_atom_site_label
_atom_site_type_symbol
_atom_site_fract_x
_atom_site_fract_y
_atom_site_fract_z
Na1 Na 0.182 0.818 0.750
Na2 Na 0.818 0.182 0.250
Ti1 Ti 0.500 0.500 0.000
Ti2 Ti 0.500 0.500 0.500
Se1 Se 0.194 0.806 0.250
Se2 Se 0.806 0.194 0.750
O1 O 0.124 0.254 0.900
O2 O 0.187 0.619 0.421
O3 O 0.254 0.124 0.400
O4 O 0.381 0.813 0.079
O5 O 0.463 0.537 0.750
O6 O 0.537 0.463 0.250
O7 O 0.619 0.187 0.921
O8 O 0.746 0.876 0.600
O9 O 0.813 0.381 0.579
O10 O 0.876 0.746 0.100
```

Largest 6 diffraction maxima, most intense first, 5 to 70 degrees two-theta:
Position (°2θ)  I (rel.)
33.7  1000
25.9  732
28.3  714
17.5  640
25.5  393
48.8  262

Record 7
Simulated powder X-ray diffraction pattern
Compound: NaTmSeO4
Radiation: Cu Kα (weighted mean of Kα1 and Kα2)
Structure: the PBE geometry in Alexandria
Lines closer than 0.1° are merged.

Structure:
```
data_NaTmSeO4
_space_group_name_H-M_alt 'P 1'
_space_group_IT_number 1
_space_group_name_Hall 'P 1'
_cell_length_a 6.477
_cell_length_b 6.477
_cell_length_c 6.477
_cell_angle_alpha 118.86
_cell_angle_beta 114.25
_cell_angle_gamma 96.11
loop_
_atom_site_label
_atom_site_type_symbol
_atom_site_fract_x
_atom_site_fract_y
_atom_site_fract_z
Na1 Na 0.000 0.000 0.000
Na2 Na 0.500 0.000 0.500
Tm1 Tm 0.500 0.000 0.000
Tm2 Tm 0.500 0.500 0.500
Se1 Se 0.105 0.355 0.750
Se2 Se 0.895 0.645 0.250
O1 O 0.227 0.269 0.541
O2 O 0.227 0.686 0.959
O3 O 0.290 0.746 0.544
O4 O 0.297 0.254 0.044
O5 O 0.703 0.746 0.956
O6 O 0.710 0.254 0.456
O7 O 0.773 0.314 0.041
O8 O 0.773 0.731 0.459
```

Largest 6 diffraction maxima, most intense first, 5 to 70 degrees two-theta:
Position (°2θ)  I (rel.)
31.7  1000
16.2  624
25.3  491
33.6  452
20.5  421
48.8  394

Record 8
Simulated powder X-ray diffraction pattern
Compound: Na2USe2O2
Radiation: Cu Kα (weighted mean of Kα1 and Kα2)
Structure: the PBE geometry in Alexandria
Lines closer than 0.1° are merged.

Structure:
```
data_Na2USe2O2
_space_group_name_H-M_alt 'P 1'
_space_group_IT_number 1
_space_group_name_Hall 'P 1'
_cell_length_a 6.481
_cell_length_b 6.481
_cell_length_c 6.984
_cell_angle_alpha 120.22
_cell_angle_beta 120.22
_cell_angle_gamma 37.51
loop_
_atom_site_label
_atom_site_type_symbol
_atom_site_fract_x
_atom_site_fract_y
_atom_site_fract_z
Na1 Na 0.202 0.202 0.241
Na2 Na 0.798 0.798 0.759
U1 U 0.000 0.000 0.500
Se1 Se 0.436 0.436 0.184
Se2 Se 0.564 0.564 0.816
O1 O 0.168 0.168 0.559
O2 O 0.832 0.832 0.441
```

Largest 6 diffraction maxima, most intense first, 5 to 70 degrees two-theta:
Position (°2θ)  I (rel.)
30.0  1000
15.6  974
17.1  944
34.3  702
34.9  637
15.0  599